Structure and computed powder diffractogram of Cs2NdMgBr6 (a DFT-relaxed cell (PBE, Alexandria); Cu Kα (λ = 1.5418 Å)).
Intensities are scaled so that the largest is 100.

Largest 6 diffraction maxima, low angle first, 15 to 90 degrees two-theta:
two_theta  intensity
22.14  42
27.20  78
31.51  100
45.16  71
53.51  33
74.75  28

Structural model:
Unit cell a=8.0304 b=8.0304 c=8.0265 alpha=119.97 beta=119.97 gamma=90.01
Sites, in units of the cell vectors:
Cs  0.2500  0.7500  0.0000
Cs  0.7500  0.2500  0.0000
Nd  0.0000  0.0000  0.5000
Mg  0.5000  0.5000  0.5000
Br  0.2614  0.2614  0.0221
Br  0.2607  0.2607  0.4995
Br  0.2611  0.7389  0.5000
Br  0.7389  0.2611  0.5000
Br  0.7393  0.7393  0.5005
Br  0.7386  0.7386  0.9779


Structure and computed powder diffractogram of CsMg2NpBr8 (a DFT-relaxed cell (PBE, Alexandria); Cu Kα (λ = 1.5418 Å)).
Intensities are scaled so that the largest is 100.

Largest 6 diffraction maxima, low angle first, 15 to 90 degrees two-theta:
two_theta  intensity
15.54  23
18.12  51
26.68  50
30.21  100
41.68  53
44.77  41

Structural model:
Unit cell a=11.7447 b=11.7447 c=11.7447 alpha=34.74 beta=34.74 gamma=34.74
Sites, in units of the cell vectors:
Cs  0.0000  0.0000  0.0000
Mg  0.2461  0.2461  0.2461
Mg  0.7539  0.7539  0.7539
Np  0.5000  0.5000  0.5000
Br  0.1213  0.4367  0.7830
Br  0.2170  0.8787  0.5633
Br  0.3197  0.3197  0.3197
Br  0.4367  0.7830  0.1213
Br  0.5633  0.2170  0.8787
Br  0.6803  0.6803  0.6803
Br  0.7830  0.1213  0.4367
Br  0.8787  0.5633  0.2170


Structure and computed powder diffractogram of Cs4PuMg3Br12 (a DFT-relaxed cell (PBE, Alexandria); Cu Kα (λ = 1.5418 Å)).
Intensities are scaled so that the largest is 100.

Largest 6 diffraction maxima, low angle first, 15 to 90 degrees two-theta:
two_theta  intensity
22.54  38
27.70  86
32.09  100
46.02  71
54.56  36
76.34  31

Structural model:
Unit cell a=9.6622 b=9.6622 c=9.6622 alpha=109.47 beta=109.47 gamma=109.47
Sites, in units of the cell vectors:
Cs  0.0000  0.0000  0.5000
Cs  0.0000  0.5000  0.0000
Cs  0.5000  0.0000  0.0000
Cs  0.5000  0.5000  0.5000
Pu  0.0000  0.0000  0.0000
Mg  0.0000  0.5000  0.5000
Mg  0.5000  0.0000  0.5000
Mg  0.5000  0.5000  0.0000
Br  0.0000  0.2629  0.2629
Br  0.0000  0.7371  0.7371
Br  0.2500  0.5000  0.7500
Br  0.2500  0.7500  0.5000
Br  0.2629  0.0000  0.2629
Br  0.2629  0.2629  0.0000
Br  0.5000  0.2500  0.7500
Br  0.5000  0.7500  0.2500
Br  0.7371  0.0000  0.7371
Br  0.7371  0.7371  0.0000
Br  0.7500  0.2500  0.5000
Br  0.7500  0.5000  0.2500


Structure and computed powder diffractogram of Cs3PuMg2Br9 (a DFT-relaxed cell (PBE, Alexandria); Cu Kα (λ = 1.5418 Å)).
Intensities are scaled so that the largest is 100.

Largest 6 diffraction maxima, low angle first, 15 to 90 degrees two-theta:
two_theta  intensity
22.38  50
27.54  55
31.87  100
45.61  34
45.76  34
54.20  21

Structural model:
Unit cell a=7.9306 b=7.9306 c=9.7598 alpha=90.00 beta=90.00 gamma=120.00
Sites, in units of the cell vectors:
Cs  0.0000  0.0000  0.0000
Cs  0.3333  0.6667  0.6746
Cs  0.6667  0.3333  0.3254
Pu  0.0000  0.0000  0.5000
Mg  0.3333  0.6667  0.1559
Mg  0.6667  0.3333  0.8441
Br  0.0000  0.5000  0.0000
Br  0.1743  0.3486  0.3220
Br  0.1743  0.8257  0.3220
Br  0.3486  0.1743  0.6780
Br  0.5000  0.0000  0.0000
Br  0.5000  0.5000  0.0000
Br  0.6514  0.8257  0.3220
Br  0.8257  0.1743  0.6780
Br  0.8257  0.6514  0.6780


Structure and computed powder diffractogram of Cs4RbMg3Br12 (a DFT-relaxed cell (PBE, Alexandria); Cu Kα (λ = 1.5418 Å)).
Intensities are scaled so that the largest is 100.

Largest 6 diffraction maxima, low angle first, 15 to 90 degrees two-theta:
two_theta  intensity
22.06  20
27.10  100
31.39  79
44.99  54
53.31  39
74.45  21

Structural model:
Unit cell a=9.8708 b=9.8708 c=9.8708 alpha=109.47 beta=109.47 gamma=109.47
Sites, in units of the cell vectors:
Cs  0.0000  0.0000  0.5000
Cs  0.0000  0.5000  0.0000
Cs  0.5000  0.0000  0.0000
Cs  0.5000  0.5000  0.5000
Rb  0.0000  0.0000  0.0000
Mg  0.0000  0.5000  0.5000
Mg  0.5000  0.0000  0.5000
Mg  0.5000  0.5000  0.0000
Br  0.0000  0.2789  0.2789
Br  0.0000  0.7211  0.7211
Br  0.2500  0.5000  0.7500
Br  0.2500  0.7500  0.5000
Br  0.2789  0.0000  0.2789
Br  0.2789  0.2789  0.0000
Br  0.5000  0.2500  0.7500
Br  0.5000  0.7500  0.2500
Br  0.7211  0.0000  0.7211
Br  0.7211  0.7211  0.0000
Br  0.7500  0.2500  0.5000
Br  0.7500  0.5000  0.2500


Structure and computed powder diffractogram of Cs2MgSbBr6 (a DFT-relaxed cell (PBE, Alexandria); Cu Kα (λ = 1.5418 Å)).
Intensities are scaled so that the largest is 100.

Largest 6 diffraction maxima, low angle first, 15 to 90 degrees two-theta:
two_theta  intensity
21.55  34
26.83  100
29.41  39
31.88  74
43.92  51
53.79  28

Structural model:
Unit cell a=8.2710 b=8.2710 c=8.2710 alpha=122.63 beta=122.63 gamma=85.51
Sites, in units of the cell vectors:
Cs  0.2500  0.7500  0.5000
Cs  0.7500  0.2500  0.5000
Mg  0.0000  0.0000  0.0000
Sb  0.5000  0.5000  0.0000
Br  0.2111  0.2111  0.0000
Br  0.2495  0.2495  0.4989
Br  0.2495  0.7505  0.0000
Br  0.7505  0.2495  0.0000
Br  0.7505  0.7505  0.5011
Br  0.7889  0.7889  0.0000


Structure and computed powder diffractogram of CsMgSc2Br8 (a DFT-relaxed cell (PBE, Alexandria); Cu Kα (λ = 1.5418 Å)).
Intensities are scaled so that the largest is 100.

Largest 6 diffraction maxima, low angle first, 15 to 90 degrees two-theta:
two_theta  intensity
26.35  39
26.74  100
30.86  64
43.96  30
44.46  35
52.42  30

Structural model:
Unit cell a=10.9333 b=10.9333 c=10.9333 alpha=37.67 beta=37.67 gamma=37.67
Sites, in units of the cell vectors:
Cs  0.0000  0.0000  0.0000
Mg  0.5000  0.5000  0.5000
Sc  0.2376  0.2376  0.2376
Sc  0.7624  0.7624  0.7624
Br  0.1442  0.7720  0.4288
Br  0.2280  0.5712  0.8558
Br  0.3203  0.3203  0.3203
Br  0.4288  0.1442  0.7720
Br  0.5712  0.8558  0.2280
Br  0.6797  0.6797  0.6797
Br  0.7720  0.4288  0.1442
Br  0.8558  0.2280  0.5712


Structure and computed powder diffractogram of CsMg2ScBr8 (a DFT-relaxed cell (PBE, Alexandria); Cu Kα (λ = 1.5418 Å)).
Intensities are scaled so that the largest is 100.

Largest 6 diffraction maxima, low angle first, 15 to 90 degrees two-theta:
two_theta  intensity
18.39  26
24.20  34
27.23  100
30.70  75
42.04  24
45.83  35

Structural model:
Unit cell a=11.7228 b=11.7228 c=11.7228 alpha=34.02 beta=34.02 gamma=34.02
Sites, in units of the cell vectors:
Cs  0.0000  0.0000  0.0000
Mg  0.2374  0.2374  0.2374
Mg  0.7626  0.7626  0.7626
Sc  0.5000  0.5000  0.5000
Br  0.1453  0.4358  0.7772
Br  0.2228  0.8547  0.5642
Br  0.3114  0.3114  0.3114
Br  0.4358  0.7772  0.1453
Br  0.5642  0.2228  0.8547
Br  0.6886  0.6886  0.6886
Br  0.7772  0.1453  0.4358
Br  0.8547  0.5642  0.2228


Structure and computed powder diffractogram of Cs2MgTl2Br6 (a DFT-relaxed cell (PBE, Alexandria); Cu Kα (λ = 1.5418 Å)).
Intensities are scaled so that the largest is 100.

Largest 6 diffraction maxima, low angle first, 15 to 90 degrees two-theta:
two_theta  intensity
19.44  22
26.36  100
26.55  51
35.51  38
39.90  33
46.91  17

Structural model:
Unit cell a=8.4156 b=8.4156 c=7.7153 alpha=99.95 beta=99.95 gamma=115.48
Sites, in units of the cell vectors:
Cs  0.1569  0.8431  0.0000
Cs  0.8431  0.1569  0.0000
Mg  0.5000  0.5000  0.0000
Tl  0.3347  0.6653  0.5000
Tl  0.6653  0.3347  0.5000
Br  0.1711  0.4401  0.7870
Br  0.3242  0.3242  0.2347
Br  0.4401  0.1711  0.7870
Br  0.5599  0.8289  0.2130
Br  0.6758  0.6758  0.7653
Br  0.8289  0.5599  0.2130


Structure and computed powder diffractogram of CsMnTl2Br6 (a DFT-relaxed cell (PBE, Alexandria); Cu Kα (λ = 1.5418 Å)).
Intensities are scaled so that the largest is 100.

Largest 6 diffraction maxima, low angle first, 15 to 90 degrees two-theta:
two_theta  intensity
22.33  100
22.74  99
29.64  95
35.24  82
35.51  84
39.24  57

Structural model:
Unit cell a=7.8770 b=9.3709 c=12.9271 alpha=90.00 beta=126.18 gamma=90.00
Sites, in units of the cell vectors:
Cs  0.0000  0.0000  0.0000
Cs  0.0000  0.5000  0.5000
Mn  0.5000  0.0000  0.5000
Mn  0.5000  0.5000  0.0000
Tl  0.2154  0.0096  0.7200
Tl  0.2154  0.4904  0.2200
Tl  0.7846  0.5096  0.7800
Tl  0.7846  0.9904  0.2800
Br  0.1913  0.1598  0.4946
Br  0.1913  0.3402  0.9946
Br  0.2209  0.6649  0.8383
Br  0.2209  0.8351  0.3383
Br  0.4519  0.1499  0.3261
Br  0.4519  0.3501  0.8261
Br  0.5481  0.6499  0.1739
Br  0.5481  0.8501  0.6739
Br  0.7791  0.1649  0.6617
Br  0.7791  0.3351  0.1617
Br  0.8087  0.6598  0.0054
Br  0.8087  0.8402  0.5054


Structure and computed powder diffractogram of Cs2MoBr5 (a DFT-relaxed cell (PBE, Alexandria); Cu Kα (λ = 1.5418 Å)).
Intensities are scaled so that the largest is 100.

Largest 6 diffraction maxima, low angle first, 15 to 90 degrees two-theta:
two_theta  intensity
23.30  40
28.05  100
31.08  66
35.19  23
47.65  35
53.46  25

Structural model:
Unit cell a=7.6898 b=7.6898 c=7.6898 alpha=116.10 beta=116.10 gamma=96.90
Sites, in units of the cell vectors:
Cs  0.0000  0.5000  0.5000
Cs  0.5000  0.0000  0.5000
Mo  0.2188  0.2188  0.0000
Br  0.0284  0.0284  0.5534
Br  0.0284  0.4750  0.0000
Br  0.4750  0.0284  0.0000
Br  0.4750  0.4750  0.4466
Br  0.9764  0.9764  0.0000